1.
# ErZnNO
Simulated powder XRD pattern, Cu Kα (λ = 1.5418 Å). Input: a DFT-relaxed cell (PBE, OQMD).
Neutral-atom scattering factors, no anomalous dispersion.

Largest 10 diffraction maxima, sorted by position, 2θ from 10° to 80°:
20.29°, intensity 17
26.64°, intensity 20
33.71°, intensity 100
38.03°, intensity 60
41.24°, intensity 24
54.87°, intensity 20
57.34°, intensity 35
65.96°, intensity 30
70.39°, intensity 13
70.89°, intensity 18

Crystal structure
Cell: 3.3466 3.3466 4.3777 Å, 90.00 90.00 90.00°
Atoms (fractional coordinates):
Er (0.0000, 0.0000, 0.0000)
Zn (0.5000, 0.5000, 0.5000)
N (0.5000, 0.5000, 0.0000)
O (0.0000, 0.0000, 0.5000)

2.
# K6Cd2O5
Simulated powder XRD pattern, Cu Kα (λ = 1.5418 Å). Input: a DFT-relaxed cell (PBE, OQMD).
Neutral-atom scattering factors, no anomalous dispersion.

Largest 10 diffraction maxima, sorted by position, 2θ from 10° to 80°:
14.80°, intensity 41
18.82°, intensity 40
20.96°, intensity 85
29.86°, intensity 74
30.14°, intensity 100
30.38°, intensity 81
31.86°, intensity 39
34.98°, intensity 32
36.06°, intensity 36
49.43°, intensity 26

Crystal structure
Cell: 6.9022 6.9022 6.8099 Å, 93.53 93.53 120.21°
Atoms (fractional coordinates):
K (0.0000, 0.0000, 0.0000)
K (0.3474, 0.3474, 0.3680)
K (0.4239, 0.8643, 0.2060)
K (0.4875, 0.9490, 0.7008)
K (0.8643, 0.4239, 0.2060)
K (0.9490, 0.4875, 0.7008)
Cd (0.4418, 0.4418, 0.8828)
Cd (0.9047, 0.9047, 0.4999)
O (0.1366, 0.8113, 0.4445)
O (0.1737, 0.4492, 0.0137)
O (0.4492, 0.1737, 0.0137)
O (0.6569, 0.6569, 0.6862)
O (0.8113, 0.1366, 0.4445)

3.
# PrGdNi8B2
Simulated powder XRD pattern, Cu Kα (λ = 1.5418 Å). Input: a DFT-relaxed cell (PBE, OQMD).
Neutral-atom scattering factors, no anomalous dispersion.

Largest 10 diffraction maxima, sorted by position, 2θ from 10° to 80°:
32.77°, intensity 84
35.57°, intensity 30
38.58°, intensity 13
41.30°, intensity 76
44.24°, intensity 100
62.12°, intensity 27
64.82°, intensity 15
68.70°, intensity 13
69.92°, intensity 24
75.30°, intensity 22

Crystal structure
Cell: 5.0480 5.0480 7.0010 Å, 90.00 90.00 120.00°
Atoms (fractional coordinates):
Pr (0.0000, 0.0000, 0.0000)
Gd (0.0000, 0.0000, 0.5000)
Ni (0.0000, 0.5000, 0.2954)
Ni (0.0000, 0.5000, 0.7046)
Ni (0.3333, 0.6667, 0.0000)
Ni (0.5000, 0.0000, 0.2954)
Ni (0.5000, 0.0000, 0.7046)
Ni (0.5000, 0.5000, 0.2954)
Ni (0.5000, 0.5000, 0.7046)
Ni (0.6667, 0.3333, 0.0000)
B (0.3333, 0.6667, 0.5000)
B (0.6667, 0.3333, 0.5000)

4.
# Pr2DyAgHg3Au2
Simulated powder XRD pattern, Cu Kα (λ = 1.5418 Å). Input: a DFT-relaxed cell (PBE, OQMD).
Neutral-atom scattering factors, no anomalous dispersion.

Largest 10 diffraction maxima, sorted by position, 2θ from 10° to 80°:
32.00°, intensity 100
33.91°, intensity 20
34.06°, intensity 35
34.56°, intensity 80
38.68°, intensity 35
38.86°, intensity 18
41.35°, intensity 26
46.72°, intensity 24
62.21°, intensity 18
62.90°, intensity 25

Crystal structure
Cell: 3.8882 8.0400 8.0400 Å, 119.69 90.00 90.00°
Atoms (fractional coordinates):
Pr (0.0000, 0.2026, 0.7974)
Pr (0.0000, 0.7974, 0.2026)
Dy (0.0000, 0.3889, 0.3889)
Ag (0.0000, 0.7941, 0.7941)
Hg (0.5000, 0.0640, 0.0640)
Hg (0.5000, 0.5314, 0.7959)
Hg (0.5000, 0.7959, 0.5314)
Au (0.5000, 0.1376, 0.4620)
Au (0.5000, 0.4620, 0.1376)

5.
# Hf3Bi2Sb2Pt4
Simulated powder XRD pattern, Cu Kα (λ = 1.5418 Å). Input: a DFT-relaxed cell (PBE, OQMD).
Neutral-atom scattering factors, no anomalous dispersion.

Largest 10 diffraction maxima, sorted by position, 2θ from 10° to 80°:
15.41°, intensity 12
19.50°, intensity 9
23.99°, intensity 60
39.59°, intensity 52
39.73°, intensity 100
46.83°, intensity 19
47.07°, intensity 9
57.24°, intensity 17
71.93°, intensity 33
72.20°, intensity 15

Crystal structure
Cell: 7.8507 7.8507 7.8507 Å, 131.59 131.59 70.88°
Atoms (fractional coordinates):
Hf (0.0000, 0.0000, 0.0000)
Hf (0.2500, 0.7500, 0.5000)
Hf (0.7500, 0.2500, 0.5000)
Bi (0.0000, 0.5000, 0.5000)
Bi (0.5000, 0.0000, 0.5000)
Sb (0.2659, 0.2659, 0.0000)
Sb (0.7341, 0.7341, 0.0000)
Pt (0.0982, 0.0982, 0.4666)
Pt (0.3684, 0.9018, 0.0000)
Pt (0.6316, 0.6316, 0.5334)
Pt (0.9018, 0.3684, 0.0000)

6.
# Li2Zr2Al2NiIr
Simulated powder XRD pattern, Cu Kα (λ = 1.5418 Å). Input: a DFT-relaxed cell (PBE, OQMD).
Neutral-atom scattering factors, no anomalous dispersion.

Largest 10 diffraction maxima, sorted by position, 2θ from 10° to 80°:
14.20°, intensity 10
20.11°, intensity 12
24.71°, intensity 77
32.06°, intensity 9
40.89°, intensity 100
48.36°, intensity 37
59.21°, intensity 16
65.15°, intensity 15
74.47°, intensity 33
79.82°, intensity 8

Crystal structure
Cell: 4.4158 4.4158 6.2353 Å, 90.00 90.00 90.00°
Atoms (fractional coordinates):
Li (0.0000, 0.0000, 0.0000)
Li (0.5000, 0.5000, 0.5000)
Zr (0.0000, 0.5000, 0.7392)
Zr (0.5000, 0.0000, 0.2608)
Al (0.0000, 0.5000, 0.2483)
Al (0.5000, 0.0000, 0.7517)
Ni (0.0000, 0.0000, 0.5000)
Ir (0.5000, 0.5000, 0.0000)